Record 1
This entry pairs a crystal structure of DyHoZr2P4 with its computed powder diffraction line list. Radiation: CuKα. Structure: a DFT-relaxed cell (PBE, Alexandria).
Intensities are scaled so that the largest is 100.

Principal peaks in the range 2θ from 10° to 90°, by angle:
h k l  2θ (°)  intensity
0 0 2  28.1  19
2 0 0  28.4  54
1 1 1  32.8  100
2 0 2  46.9  36
0 2 0  47.3  35
3 1 1  55.9  17
4 0 0  58.8  18
3 1 3  78.0  16

Crystal structure
```
data_DyHoZr2P4
_cell_length_a 6.659
_cell_length_b 3.841
_cell_length_c 6.737
_cell_angle_alpha 90.00
_cell_angle_beta 109.29
_cell_angle_gamma 90.00
_symmetry_space_group_name_H-M 'P 1 2/m 1'
_symmetry_Int_Tables_number 10
_symmetry_space_group_name_Hall '-P 2y'
loop_
_atom_site_label
_atom_site_type_symbol
_atom_site_fract_x
_atom_site_fract_y
_atom_site_fract_z
Dy1 Dy 0.000 0.000 0.000
Ho1 Ho 0.500 0.500 0.000
Zr1 Zr 0.000 0.500 0.500
Zr2 Zr 0.500 0.000 0.500
P1 P 0.246 0.000 0.737
P2 P 0.255 0.500 0.264
```

---

Record 2
This entry pairs a crystal structure of Dy3HoPb2 with its computed powder diffraction line list. Radiation: CuKα. Structure: a DFT-relaxed cell (PBE, Alexandria).
Intensities are scaled so that the largest is 100.

Principal peaks in the range 2θ from 10° to 90°, by angle:
h k l  2θ (°)  intensity
1 1 0  27.7  22
1 1 1  29.6  77
0 0 3  31.3  39
1 1 2  34.9  100
2 0 0  39.6  58
2 0 3  51.3  43
2 2 0  57.2  20
3 1 2  68.8  28

Crystal structure
```
data_Dy3HoPb2
_cell_length_a 4.555
_cell_length_b 4.555
_cell_length_c 8.565
_cell_angle_alpha 90.00
_cell_angle_beta 90.00
_cell_angle_gamma 90.00
_symmetry_space_group_name_H-M 'P -4 m 2'
_symmetry_Int_Tables_number 115
_symmetry_space_group_name_Hall 'P -4 -2'
loop_
_atom_site_label
_atom_site_type_symbol
_atom_site_fract_x
_atom_site_fract_y
_atom_site_fract_z
Dy1 Dy 0.000 0.000 0.000
Dy2 Dy 0.000 0.500 0.659
Ho1 Ho 0.500 0.500 0.000
Pb1 Pb 0.000 0.500 0.285
```

---

Record 3
This entry pairs a crystal structure of Dy5HoPb6 with its computed powder diffraction line list. Radiation: CuKα. Structure: a DFT-relaxed cell (PBE, Alexandria).
Intensities are scaled so that the largest is 100.

Principal peaks in the range 2θ from 10° to 90°, by angle:
h k l  2θ (°)  intensity
2 2 1  32.1  100
4 2 -1  32.4  98
2 0 -2  35.1  40
6 0 0  36.2  37
0 4 0  40.8  27
2 4 -2  54.9  22
6 4 0  55.7  22
0 2 3  60.9  16

Crystal structure
```
data_Dy5HoPb6
_cell_length_a 15.692
_cell_length_b 8.842
_cell_length_c 5.121
_cell_angle_alpha 90.00
_cell_angle_beta 108.29
_cell_angle_gamma 90.00
_symmetry_space_group_name_H-M 'C 1 2/m 1'
_symmetry_Int_Tables_number 12
_symmetry_space_group_name_Hall '-C 2y'
loop_
_atom_site_label
_atom_site_type_symbol
_atom_site_fract_x
_atom_site_fract_y
_atom_site_fract_z
Dy1 Dy 0.000 0.000 0.000
Dy2 Dy 0.166 0.500 0.666
Dy3 Dy 0.167 0.000 0.666
Ho1 Ho 0.000 0.500 0.000
Pb1 Pb 0.000 0.250 0.500
Pb2 Pb 0.167 0.250 0.166
```

---

Record 4
This entry pairs a crystal structure of Dy3HoPb4 with its computed powder diffraction line list. Radiation: CuKα. Structure: a DFT-relaxed cell (PBE, Alexandria).
Intensities are scaled so that the largest is 100.

Principal peaks in the range 2θ from 10° to 90°, by angle:
h k l  2θ (°)  intensity
4 0 0  32.2  100
2 2 0  32.3  66
0 2 2  39.8  38
4 2 2  52.1  35
6 2 0  57.4  26
0 4 0  57.6  13
4 4 0  67.5  49
6 4 2  85.7  18

Crystal structure
```
data_Dy3HoPb4
_cell_length_a 11.136
_cell_length_b 6.403
_cell_length_c 6.404
_cell_angle_alpha 90.00
_cell_angle_beta 90.00
_cell_angle_gamma 90.00
_symmetry_space_group_name_H-M 'P m n a'
_symmetry_Int_Tables_number 53
_symmetry_space_group_name_Hall '-P 2ac 2'
loop_
_atom_site_label
_atom_site_type_symbol
_atom_site_fract_x
_atom_site_fract_y
_atom_site_fract_z
Dy1 Dy 0.000 0.000 0.000
Dy2 Dy 0.250 0.250 0.250
Ho1 Ho 0.000 0.500 0.500
Pb1 Pb 0.000 0.000 0.500
Pb2 Pb 0.000 0.500 0.000
Pb3 Pb 0.250 0.250 0.750
```

---

Record 5
This entry pairs a crystal structure of Dy4HoPd4 with its computed powder diffraction line list. Radiation: CuKα. Structure: a DFT-relaxed cell (PBE, Alexandria).
Intensities are scaled so that the largest is 100.

Principal peaks in the range 2θ from 10° to 90°, by angle:
h k l  2θ (°)  intensity
2 1 1  27.1  29
1 3 0  31.7  100
1 0 2  32.5  41
1 2 2  38.4  22
3 0 2  43.6  19
1 3 2  44.8  19
4 2 0  45.4  34
3 2 2  48.4  24

Crystal structure
```
data_Dy4HoPd4
_cell_length_a 8.925
_cell_length_b 8.925
_cell_length_c 5.793
_cell_angle_alpha 90.00
_cell_angle_beta 90.00
_cell_angle_gamma 90.00
_symmetry_space_group_name_H-M 'P 42/n'
_symmetry_Int_Tables_number 86
loop_
_symmetry_equiv_pos_as_xyz
'x,y,z'
'-x,-y,-z'
'-y,x+1/2,z+1/2'
'y,-x+1/2,-z+1/2'
'-x+1/2,-y+1/2,z'
'x+1/2,y+1/2,-z'
'y+1/2,-x,z+1/2'
'-y+1/2,x,-z+1/2'
loop_
_atom_site_label
_atom_site_type_symbol
_atom_site_fract_x
_atom_site_fract_y
_atom_site_fract_z
Dy1 Dy 0.068 0.660 0.160
Ho1 Ho 0.250 0.250 0.250
Pd1 Pd 0.030 0.628 0.656
```

---

Record 6
This entry pairs a crystal structure of DyHo3Pd2 with its computed powder diffraction line list. Radiation: CuKα. Structure: a DFT-relaxed cell (PBE, Alexandria).
Intensities are scaled so that the largest is 100.

Principal peaks in the range 2θ from 10° to 90°, by angle:
h k l  2θ (°)  intensity
0 3 1  29.6  42
1 2 1  31.9  41
0 1 3  32.9  41
1 1 2  33.1  100
1 3 1  38.2  52
0 4 1  38.6  20
2 0 0  48.5  24
1 4 3  55.6  22

Crystal structure
```
data_DyHo3Pd2
_cell_length_a 3.757
_cell_length_b 9.699
_cell_length_c 8.499
_cell_angle_alpha 90.00
_cell_angle_beta 90.00
_cell_angle_gamma 90.00
_symmetry_space_group_name_H-M 'P m c 21'
_symmetry_Int_Tables_number 26
_symmetry_space_group_name_Hall 'P 2c -2'
loop_
_atom_site_label
_atom_site_type_symbol
_atom_site_fract_x
_atom_site_fract_y
_atom_site_fract_z
Dy1 Dy 0.000 0.067 0.000
Ho1 Ho 0.000 0.285 0.659
Ho2 Ho 0.500 0.216 0.320
Ho3 Ho 0.500 0.434 0.980
Pd1 Pd 0.000 0.427 0.253
Pd2 Pd 0.500 0.073 0.726
```

---

Record 7
This entry pairs a crystal structure of DyHoPd14 with its computed powder diffraction line list. Radiation: CuKα. Structure: a DFT-relaxed cell (PBE, Alexandria).
Intensities are scaled so that the largest is 100.

Principal peaks in the range 2θ from 10° to 90°, by angle:
h k l  2θ (°)  intensity
2 0 2  38.6  100
2 2 0  44.6  33
0 0 4  45.5  15
4 0 0  64.9  11
2 2 4  65.6  20
4 2 2  78.1  25
2 0 6  79.4  11
4 0 4  82.8  11

Crystal structure
```
data_DyHoPd14
_cell_length_a 5.747
_cell_length_b 5.747
_cell_length_c 7.978
_cell_angle_alpha 90.00
_cell_angle_beta 90.00
_cell_angle_gamma 90.00
_symmetry_space_group_name_H-M 'P 4/m m m'
_symmetry_Int_Tables_number 123
_symmetry_space_group_name_Hall '-P 4 2'
loop_
_atom_site_label
_atom_site_type_symbol
_atom_site_fract_x
_atom_site_fract_y
_atom_site_fract_z
Dy1 Dy 0.000 0.000 0.000
Ho1 Ho 0.500 0.500 0.000
Pd1 Pd 0.000 0.000 0.500
Pd2 Pd 0.000 0.500 0.000
Pd3 Pd 0.000 0.500 0.500
Pd4 Pd 0.250 0.250 0.258
Pd5 Pd 0.500 0.500 0.500
```

---

Record 8
This entry pairs a crystal structure of Dy6HoPd2 with its computed powder diffraction line list. Radiation: CuKα. Structure: a DFT-relaxed cell (PBE, Alexandria).
Intensities are scaled so that the largest is 100.

Principal peaks in the range 2θ from 10° to 90°, by angle:
h k l  2θ (°)  intensity
3 1 -2  30.5  50
0 0 3  32.1  31
3 1 0  32.5  100
4 0 -4  33.3  21
6 0 -2  34.0  47
3 1 -3  34.9  53
3 1 1  38.4  33
0 2 0  49.5  24

Crystal structure
```
data_Dy6HoPd2
_cell_length_a 16.061
_cell_length_b 3.680
_cell_length_c 10.777
_cell_angle_alpha 90.00
_cell_angle_beta 129.17
_cell_angle_gamma 90.00
_symmetry_space_group_name_H-M 'C 1 2/m 1'
_symmetry_Int_Tables_number 12
_symmetry_space_group_name_Hall '-C 2y'
loop_
_atom_site_label
_atom_site_type_symbol
_atom_site_fract_x
_atom_site_fract_y
_atom_site_fract_z
Dy1 Dy 0.032 0.000 0.190
Dy2 Dy 0.194 0.500 0.555
Dy3 Dy 0.214 0.500 0.110
Ho1 Ho 0.000 0.000 0.500
Pd1 Pd 0.093 0.500 0.765
```